This entry pairs a crystal structure of V11FeB8 with its calculated powder XRD pattern. Radiation: Cu Ka. Structure: the GGA-PBE geometry in Alexandria.
Kinematic intensities with the Lorentz-polarization factor, no thermal factor.

Cell and atoms:
Unit cell a=5.691 b=3.019 c=11.362 alpha=90.00 beta=90.06 gamma=90.00
Space group P2/m (No. 10)
One atom of each set of equivalent atoms:
V  0.000  0.000  0.000 x1
V  0.178  0.500  0.341 x2
V  0.178  0.500  0.838 x2
V  0.322  0.500  0.090 x2
V  0.322  0.500  0.588 x2
V  0.500  0.000  0.251 x2
Fe  0.000  0.000  0.500 x1
B  0.110  0.000  0.691 x2
B  0.111  0.000  0.197 x2
B  0.388  0.000  0.445 x2
B  0.389  0.000  0.944 x2

Main lines, in order of falling intensity (10° ≤ 2θ ≤ 90°):
43.74 deg, I 100.0, (2 1 0)
46.71 deg, I 76.1, (1 1 4)
35.30 deg, I 51.7, (2 0 2)
37.25 deg, I 46.5, (1 1 -2)
50.76 deg, I 34.6, (1 0 -6)
45.10 deg, I 27.6, (2 0 4)
78.01 deg, I 23.3, (3 1 -6)
83.65 deg, I 18.8, (1 2 -6)
61.43 deg, I 16.7, (0 2 0)
22.11 deg, I 12.0, (1 0 2)

This entry pairs a crystal structure of NbReO with its calculated powder XRD pattern. Radiation: Cu Ka. Structure: the GGA-PBE geometry in Alexandria.
Kinematic intensities with the Lorentz-polarization factor, no thermal factor.

Cell and atoms:
Unit cell a=7.817 b=2.854 c=8.058 alpha=90.00 beta=106.26 gamma=90.00
Space group C2/m (No. 12)
One atom of each set of equivalent atoms:
Nb  0.178  0.000  0.321 x4
Re  0.116  0.500  0.928 x4
O  0.030  0.500  0.667 x4

Main lines, in order of falling intensity (10° ≤ 2θ ≤ 90°):
11.44 deg, I 100.0, (0 0 1)
36.71 deg, I 71.1, (1 1 1)
49.20 deg, I 28.9, (3 1 -2)
36.33 deg, I 28.1, (2 0 -3)
37.79 deg, I 26.4, (2 0 2)
46.49 deg, I 26.3, (4 0 -1)
28.12 deg, I 24.2, (2 0 -2)
47.26 deg, I 19.0, (3 1 -1)
55.87 deg, I 16.6, (1 1 -4)
33.59 deg, I 15.8, (1 1 0)

This entry pairs a crystal structure of Er2Tm2Pb with its calculated powder XRD pattern. Radiation: Cu Ka. Structure: the GGA-PBE geometry in Alexandria.
Kinematic intensities with the Lorentz-polarization factor, no thermal factor.

Cell and atoms:
Unit cell a=7.365 b=4.966 c=8.033 alpha=90.00 beta=93.51 gamma=90.00
Space group P2_1/m (No. 11)
One atom of each set of equivalent atoms:
Er  0.061  0.250  0.357 x2
Er  0.257  0.250  0.766 x2
Tm  0.172  0.750  0.057 x2
Tm  0.354  0.750  0.476 x2
Pb  0.442  0.250  0.170 x2

Main lines, in order of falling intensity (10° ≤ 2θ ≤ 90°):
31.72 deg, I 100.0, (2 1 -1)
36.17 deg, I 18.4, (0 2 0)
35.01 deg, I 18.3, (1 0 -3)
62.29 deg, I 15.0, (2 3 -1)
39.09 deg, I 13.9, (3 0 1)
51.23 deg, I 12.5, (1 2 -3)
66.33 deg, I 11.4, (4 2 -2)
54.31 deg, I 10.8, (3 2 1)
66.19 deg, I 10.1, (2 2 4)
60.81 deg, I 6.9, (3 1 -4)